(1)
Theoretical X-ray powder pattern of BeTlGa for CuKα, from DFT lattice parameters and positions (PBE).
Lines closer than 0.1° are merged.

```
BeTlGa
1.0
6.9566 0.0000 0.0000
0.0000 6.1503 0.0000
0.0000 0.0000 5.4851
Be Tl Ga
4 4 4
Direct
0.2456 0.2500 0.0005
0.2544 0.7500 0.5005
0.7456 0.2500 0.4995
0.7544 0.7500 0.9995
0.1208 0.7500 0.0001
0.3792 0.2500 0.5001
0.6208 0.7500 0.4999
0.8792 0.2500 0.9999
0.0000 0.0000 0.5000
0.0000 0.5000 0.5000
0.5000 0.0000 0.0000
0.5000 0.5000 0.0000
```

Principal peaks in the range 2θ = 10–90°, sorted by position:
d_spacing	I (rel.)
3.528	87.4
3.028	68.9
2.743	52.5
2.503	100.0
2.136	27.5
2.033	45.6
2.018	28.0
1.533	22.2


(2)
Theoretical X-ray powder pattern of Be2TlGa2 for CuKα, from DFT lattice parameters and positions (PBE).
Lines closer than 0.1° are merged.

```
Be2TlGa2
1.0
6.6738 0.0000 0.0000
0.0000 6.6738 0.0000
0.0000 0.0000 3.7227
Be Tl Ga
4 2 4
Direct
0.1147 0.3853 0.0000
0.3853 0.8853 0.0000
0.6147 0.1147 0.0000
0.8853 0.6147 0.0000
0.0000 0.0000 0.0000
0.5000 0.5000 0.0000
0.1540 0.6540 0.5000
0.3460 0.1540 0.5000
0.6540 0.8460 0.5000
0.8460 0.3460 0.5000
```

Principal peaks in the range 2θ = 10–90°, sorted by position:
d_spacing	I (rel.)
4.719	57.2
3.337	26.9
2.923	100.0
2.485	72.1
2.329	27.3
2.110	57.1
1.449	23.4
1.396	30.3


(3)
Theoretical X-ray powder pattern of TmBe3Ga3 for CuKα, from DFT lattice parameters and positions (PBE).
Lines closer than 0.1° are merged.

```
TmBe3Ga3
1.0
6.2600 0.0000 0.0000
0.0000 6.2600 0.0000
0.0000 0.0000 6.2600
Tm Be Ga
2 6 6
Direct
0.0000 0.0000 0.0000
0.5000 0.5000 0.5000
0.0000 0.2500 0.5000
0.0000 0.7500 0.5000
0.2500 0.5000 0.0000
0.5000 0.0000 0.2500
0.5000 0.0000 0.7500
0.7500 0.5000 0.0000
0.0000 0.5000 0.2500
0.0000 0.5000 0.7500
0.2500 0.0000 0.5000
0.5000 0.2500 0.0000
0.5000 0.7500 0.0000
0.7500 0.0000 0.5000
```

Principal peaks in the range 2θ = 10–90°, sorted by position:
d_spacing	I (rel.)
4.426	24.5
3.130	43.4
2.800	38.1
2.556	100.0
1.673	55.3
1.565	14.7
1.400	15.2
1.143	16.0


(4)
Theoretical X-ray powder pattern of Tm2Be2Ga3 for CuKα, from DFT lattice parameters and positions (PBE).
Lines closer than 0.1° are merged.

```
Tm2Be2Ga3
1.0
2.0688 -8.9035 0.0000
2.0688 8.9035 0.0000
0.0000 0.0000 6.5400
Tm Be Ga
4 4 6
Direct
0.0495 0.9505 0.7500
0.1620 0.8380 0.2500
0.8380 0.1620 0.7500
0.9505 0.0495 0.2500
0.3144 0.6856 0.0764
0.3144 0.6856 0.4236
0.6856 0.3144 0.5764
0.6856 0.3144 0.9236
0.2217 0.7783 0.7500
0.4345 0.5655 0.5625
0.4345 0.5655 0.9375
0.5655 0.4345 0.0625
0.5655 0.4345 0.4375
0.7783 0.2217 0.2500
```

Principal peaks in the range 2θ = 10–90°, sorted by position:
d_spacing	I (rel.)
3.680	25.8
3.270	25.5
2.701	28.5
2.539	75.9
2.495	100.0
2.069	26.1
1.958	21.1
1.567	15.5


(5)
Theoretical X-ray powder pattern of U2Be25Ga for CuKα, from DFT lattice parameters and positions (PBE).
Lines closer than 0.1° are merged.

```
U2Be25Ga
1.0
0.0000 5.1532 5.1532
5.1532 0.0000 5.1532
5.1532 5.1532 0.0000
U Be Ga
2 25 1
Direct
0.2500 0.2500 0.2500
0.7500 0.7500 0.7500
0.0000 0.0000 0.0000
0.0627 0.2863 0.9373
0.0627 0.7137 0.2863
0.0627 0.9373 0.7137
0.1936 0.4420 0.5580
0.1936 0.5580 0.8064
0.1936 0.8064 0.4420
0.2863 0.0627 0.7137
0.2863 0.7137 0.9373
0.2863 0.9373 0.0627
0.4420 0.1936 0.8064
0.4420 0.5580 0.1936
0.4420 0.8064 0.5580
0.5580 0.1936 0.4420
0.5580 0.4420 0.8064
0.5580 0.8064 0.1936
0.7137 0.0627 0.9373
0.7137 0.2863 0.0627
0.7137 0.9373 0.2863
0.8064 0.1936 0.5580
0.8064 0.4420 0.1936
0.8064 0.5580 0.4420
0.9373 0.0627 0.2863
0.9373 0.2863 0.7137
0.9373 0.7137 0.0627
0.5000 0.5000 0.5000
```

Principal peaks in the range 2θ = 10–90°, sorted by position:
d_spacing	I (rel.)
5.153	51.4
3.644	100.0
2.975	23.1
2.577	22.4
2.305	38.8
2.104	57.1
1.630	24.5
1.377	27.8


(6)
Theoretical X-ray powder pattern of Be2VGa2 for CuKα, from DFT lattice parameters and positions (PBE).
Lines closer than 0.1° are merged.

```
Be2VGa2
1.0
6.6028 0.0000 0.0000
0.0000 6.6028 0.0000
0.0000 0.0000 2.7962
Be V Ga
4 2 4
Direct
0.1199 0.3801 0.0000
0.3801 0.8801 0.0000
0.6199 0.1199 0.0000
0.8801 0.6199 0.0000
0.0000 0.0000 0.0000
0.5000 0.5000 0.0000
0.1765 0.6765 0.5000
0.3235 0.1765 0.5000
0.6765 0.8235 0.5000
0.8235 0.3235 0.5000
```

Principal peaks in the range 2θ = 10–90°, sorted by position:
d_spacing	I (rel.)
2.953	100.0
2.399	32.0
2.334	29.8
2.134	82.2
2.088	56.6
2.030	93.5
1.390	32.3
1.360	32.2


(7)
Theoretical X-ray powder pattern of YBeGa for CuKα, from DFT lattice parameters and positions (PBE).
Lines closer than 0.1° are merged.

```
YBeGa
1.0
5.1812 -2.0704 0.0000
5.1812 2.0704 0.0000
-5.1193 0.0000 5.1803
Y Be Ga
2 2 2
Direct
0.2473 0.2473 0.2475
0.7527 0.7527 0.7525
0.4990 0.4990 0.1590
0.5010 0.5010 0.8410
0.0010 0.0010 0.6775
0.9990 0.9990 0.3225
```

Principal peaks in the range 2θ = 10–90°, sorted by position:
d_spacing	I (rel.)
3.606	58.7
2.590	60.1
2.575	100.0
2.094	48.1
2.070	23.6
1.843	16.2
1.617	27.5
1.383	24.1


(8)
Theoretical X-ray powder pattern of ZrBeGa for CuKα, from DFT lattice parameters and positions (PBE).
Lines closer than 0.1° are merged.

```
ZrBeGa
1.0
-1.8678 1.8678 6.7946
1.8678 -1.8678 6.7946
1.8678 1.8678 -6.7946
Zr Be Ga
2 2 2
Direct
0.0000 0.0000 0.0000
0.7500 0.2500 0.5000
0.1743 0.6743 0.5000
0.3257 0.8257 0.5000
0.4103 0.4103 0.0000
0.5897 0.5897 0.0000
```

Principal peaks in the range 2θ = 10–90°, sorted by position:
d_spacing	I (rel.)
3.602	32.1
2.882	48.9
2.462	100.0
2.198	70.0
1.868	38.9
1.723	24.6
1.423	33.5
1.164	17.5


(9)
Theoretical X-ray powder pattern of Zr3BeGa2 for CuKα, from DFT lattice parameters and positions (PBE).
Lines closer than 0.1° are merged.

```
Zr3BeGa2
1.0
10.8228 0.0000 0.0000
0.0000 3.9768 0.0000
0.0000 0.0000 10.2296
Zr Be Ga
12 4 8
Direct
0.0443 0.2500 0.1252
0.1331 0.7500 0.5797
0.2085 0.2500 0.8123
0.2915 0.7500 0.3123
0.3669 0.2500 0.0797
0.4557 0.7500 0.6252
0.5443 0.2500 0.3748
0.6331 0.7500 0.9203
0.7085 0.2500 0.6877
0.7915 0.7500 0.1877
0.8669 0.2500 0.4203
0.9557 0.7500 0.8748
0.1278 0.2500 0.3840
0.3722 0.7500 0.8840
0.6278 0.2500 0.1160
0.8722 0.7500 0.6160
0.0235 0.7500 0.3243
0.1900 0.7500 0.0143
0.3100 0.2500 0.5143
0.4765 0.2500 0.8243
0.5235 0.7500 0.1757
0.6900 0.7500 0.4857
0.8100 0.2500 0.9857
0.9765 0.2500 0.6757
```

Principal peaks in the range 2θ = 10–90°, sorted by position:
d_spacing	I (rel.)
2.716	36.0
2.616	33.9
2.587	69.8
2.518	59.5
2.489	34.2
2.368	100.0
1.988	47.0
1.327	31.2


(10)
Theoretical X-ray powder pattern of Gd2Be2GeO7 for CuKα, from DFT lattice parameters and positions (PBE).
Lines closer than 0.1° are merged.

```
Gd2Be2GeO7
1.0
7.5237 0.0000 0.0000
0.0000 7.5237 0.0000
0.0000 0.0000 4.8663
Gd Be Ge O
4 4 2 14
Direct
0.1588 0.3412 0.4957
0.3412 0.8412 0.5043
0.6588 0.1588 0.5043
0.8412 0.6588 0.4957
0.1345 0.6345 0.9551
0.3655 0.1345 0.0449
0.6345 0.8655 0.0449
0.8655 0.3655 0.9551
0.0000 0.0000 0.0000
0.5000 0.5000 0.0000
0.0000 0.5000 0.8195
0.0805 0.8275 0.7887
0.1420 0.6420 0.2820
0.1725 0.0805 0.2113
0.3275 0.5805 0.7887
0.3580 0.1420 0.7180
0.4195 0.3275 0.2113
0.5000 0.0000 0.1805
0.5805 0.6725 0.2113
0.6420 0.8580 0.7180
0.6725 0.4195 0.7887
0.8275 0.9195 0.2113
0.8580 0.3580 0.2820
0.9195 0.1725 0.7887
```

Principal peaks in the range 2θ = 10–90°, sorted by position:
d_spacing	I (rel.)
4.866	34.5
3.591	44.7
3.365	49.4
2.976	45.3
2.768	100.0
2.379	27.3
1.972	42.9
1.701	27.2


(11)
Theoretical X-ray powder pattern of GdBeH for CuKα, from DFT lattice parameters and positions (PBE).
Lines closer than 0.1° are merged.

```
GdBeH
1.0
1.5732 -8.4463 0.0000
1.5732 8.4463 0.0000
0.0000 0.0000 3.2501
Gd Be H
2 2 2
Direct
0.0987 0.9013 0.7500
0.9013 0.0987 0.2500
0.2475 0.7525 0.2500
0.7525 0.2475 0.7500
0.4372 0.5628 0.7500
0.5628 0.4372 0.2500
```

Principal peaks in the range 2θ = 10–90°, sorted by position:
d_spacing	I (rel.)
8.446	47.3
4.223	72.0
3.093	77.6
3.033	100.0
2.815	36.5
2.303	52.5
2.098	81.5
1.650	30.5


(12)
Theoretical X-ray powder pattern of Gd2MgBe for CuKα, from DFT lattice parameters and positions (PBE).
Lines closer than 0.1° are merged.

```
Gd2MgBe
1.0
0.0000 3.6333 3.6333
3.6333 0.0000 3.6333
3.6333 3.6333 0.0000
Gd Mg Be
2 1 1
Direct
0.2500 0.2500 0.2500
0.7500 0.7500 0.7500
0.0000 0.0000 0.0000
0.5000 0.5000 0.5000
```

Principal peaks in the range 2θ = 10–90°, sorted by position:
d_spacing	I (rel.)
3.633	81.5
2.569	100.0
2.098	24.7
1.817	17.8
1.625	33.4
1.483	36.6
1.211	15.9
1.149	16.1